1.
# Ac9Ir2Pt4
Simulated XRD peak list, copper Kα. Input: a DFT-relaxed cell (GGA-PBE, Alexandria).

The 12 most intense peaks (15° ≤ 2θ ≤ 90°), by intensity:
d_spacing, intensity
3.344, 100.0
2.586, 76.9
2.191, 52.2
2.002, 24.6
1.375, 22.0
1.672, 20.7
5.587, 20.5
1.329, 18.8
1.833, 17.7
1.406, 14.3
4.126, 11.5
2.794, 9.4

Atomic structure:
Cell lengths 7.5883, 7.5922, 21.2024 Å; angles 90.03, 90.01, 119.97 degrees
Atoms (fractional coordinates):
Ac 0.0018 0.1896 0.2501
Ac 0.0138 0.1736 0.5844
Ac 0.0136 0.8418 0.0843
Ac 0.3102 0.5002 0.7500
Ac 0.3110 0.8110 0.2500
Ac 0.3280 0.4872 0.0845
Ac 0.3277 0.8419 0.5845
Ac 0.3396 0.8266 0.9155
Ac 0.3416 0.5138 0.4155
Ac 0.6584 0.4862 0.5845
Ac 0.6604 0.1734 0.0845
Ac 0.6723 0.1581 0.4155
Ac 0.6720 0.5128 0.9155
Ac 0.6890 0.1890 0.7500
Ac 0.6898 0.4998 0.2500
Ac 0.9864 0.1582 0.9157
Ac 0.9862 0.8264 0.4156
Ac 0.9982 0.8104 0.7499
Ir 0.9997 0.4988 0.3409
Ir 0.0003 0.5012 0.6591
Ir 0.0011 0.5019 0.1592
Ir 0.9989 0.4981 0.8408
Pt 0.3323 0.1660 0.6737
Pt 0.3330 0.1667 0.4933
Pt 0.3342 0.1667 0.9936
Pt 0.3345 0.1668 0.1731
Pt 0.6655 0.8332 0.8269
Pt 0.6658 0.8333 0.0064
Pt 0.6670 0.8333 0.5067
Pt 0.6677 0.8340 0.3263

***

2.
# AcTaHg2O6
Simulated XRD peak list, copper Kα. Input: a DFT-relaxed cell (GGA-PBE, Alexandria).

The 12 most intense peaks (15° ≤ 2θ ≤ 90°), by intensity:
d_spacing, intensity
3.131, 100.0
2.931, 79.4
2.140, 38.6
1.728, 38.1
1.692, 21.4
1.852, 20.7
1.327, 18.0
1.381, 17.3
1.208, 14.9
1.565, 13.6
1.466, 11.3
1.118, 10.4

Atomic structure:
Cell lengths 6.2911, 6.2911, 6.2911 Å; angles 55.54, 55.54, 55.54 degrees
Atoms (fractional coordinates):
Ac 0.0000 0.0000 0.0000
Ta 0.5000 0.5000 0.5000
Hg 0.2407 0.2407 0.2407
Hg 0.7593 0.7593 0.7593
O 0.1569 0.4046 0.7170
O 0.2830 0.8431 0.5954
O 0.4046 0.7170 0.1569
O 0.5954 0.2830 0.8431
O 0.7170 0.1569 0.4046
O 0.8431 0.5954 0.2830

***

3.
# Mg2In2Pd
Simulated XRD peak list, copper Kα. Input: a DFT-relaxed cell (GGA-PBE, Alexandria).

The 12 most intense peaks (15° ≤ 2θ ≤ 90°), by intensity:
d_spacing, intensity
2.409, 100.0
4.398, 63.4
3.157, 47.5
2.244, 46.3
1.325, 28.5
1.829, 19.3
1.586, 15.2
1.999, 14.9
1.842, 13.0
1.428, 11.9
1.423, 10.9
1.418, 8.2

Atomic structure:
Cell lengths 11.5511, 11.5511, 11.5511 Å; angles 157.60, 157.60, 31.89 degrees
Atoms (fractional coordinates):
Mg 0.0537 0.3037 0.7500
Mg 0.3037 0.0537 0.2500
Mg 0.6963 0.9463 0.7500
Mg 0.9463 0.6963 0.2500
In 0.1972 0.4472 0.7500
In 0.4472 0.1972 0.2500
In 0.5528 0.8028 0.7500
In 0.8028 0.5528 0.2500
Pd 0.3750 0.6250 0.7500
Pd 0.6250 0.3750 0.2500

***

4.
# Li2Ag4Au3
Simulated XRD peak list, copper Kα. Input: a DFT-relaxed cell (GGA-PBE, Alexandria).

The 12 most intense peaks (15° ≤ 2θ ≤ 90°), by intensity:
d_spacing, intensity
2.372, 100.0
2.367, 50.0
2.352, 49.7
2.063, 33.0
4.265, 32.8
2.050, 32.4
3.985, 32.3
2.034, 31.3
1.450, 22.4
3.358, 18.9
3.064, 15.7
1.243, 13.9

Atomic structure:
Cell lengths 4.9949, 4.9996, 7.6570 Å; angles 108.53, 90.56, 119.37 degrees
Atoms (fractional coordinates):
Li 0.0555 0.2899 0.1705
Li 0.9445 0.7101 0.8295
Ag 0.1659 0.8330 0.4995
Ag 0.2780 0.3883 0.8374
Ag 0.7220 0.6117 0.1626
Ag 0.8341 0.1670 0.5005
Au 0.3805 0.9467 0.1619
Au 0.5000 0.5000 0.5000
Au 0.6195 0.0533 0.8381

***

5.
# U3As3Ru2
Simulated XRD peak list, copper Kα. Input: a DFT-relaxed cell (GGA-PBE, Alexandria).

The 12 most intense peaks (15° ≤ 2θ ≤ 90°), by intensity:
d_spacing, intensity
2.623, 100.0
2.324, 75.8
2.110, 35.4
2.544, 34.7
2.359, 20.2
1.624, 18.2
2.670, 17.9
1.297, 16.2
1.593, 15.1
1.271, 14.9
2.292, 14.6
3.420, 14.5

Atomic structure:
Cell lengths 5.5868, 5.5868, 14.1511 Å; angles 90.00, 90.00, 135.62 degrees
Atoms (fractional coordinates):
U 0.0685 0.9315 0.6040
U 0.0685 0.9315 0.8960
U 0.3284 0.6716 0.7500
U 0.6716 0.3284 0.2500
U 0.9315 0.0685 0.1040
U 0.9315 0.0685 0.3960
As 0.3709 0.6291 0.5422
As 0.3709 0.6291 0.9578
As 0.3868 0.6132 0.2500
As 0.6132 0.3868 0.7500
As 0.6291 0.3709 0.0422
As 0.6291 0.3709 0.4578
Ru 0.2210 0.7790 0.1134
Ru 0.2210 0.7790 0.3866
Ru 0.7790 0.2210 0.6134
Ru 0.7790 0.2210 0.8866

***

6.
# SrAl11Ir
Simulated XRD peak list, copper Kα. Input: a DFT-relaxed cell (GGA-PBE, Alexandria).

The 12 most intense peaks (15° ≤ 2θ ≤ 90°), by intensity:
d_spacing, intensity
4.513, 100.0
2.350, 92.6
3.200, 83.0
3.389, 72.1
2.714, 67.2
2.302, 66.1
2.257, 60.8
2.367, 57.4
3.043, 51.4
4.701, 50.1
2.264, 49.4
3.458, 32.9

Atomic structure:
Cell lengths 6.9189, 6.9189, 7.3092 Å; angles 97.01, 97.01, 135.72 degrees
Atoms (fractional coordinates):
Sr 0.0000 0.0000 0.0000
Al 0.0000 0.0000 0.5000
Al 0.0000 0.5000 0.0000
Al 0.0086 0.3579 0.3612
Al 0.2756 0.4977 0.7663
Al 0.3579 0.0086 0.3612
Al 0.4977 0.2756 0.7663
Al 0.5000 0.0000 0.0000
Al 0.5023 0.7244 0.2337
Al 0.6421 0.9914 0.6388
Al 0.7244 0.5023 0.2337
Al 0.9914 0.6421 0.6388
Ir 0.5000 0.5000 0.5000

***

7.
# La3Nd3Tl
Simulated XRD peak list, copper Kα. Input: a DFT-relaxed cell (GGA-PBE, Alexandria).

The 12 most intense peaks (15° ≤ 2θ ≤ 90°), by intensity:
d_spacing, intensity
2.783, 100.0
2.911, 25.4
3.169, 23.1
1.655, 21.3
1.549, 21.1
1.830, 18.1
2.144, 15.6
1.529, 14.7
1.173, 11.4
1.139, 7.9
1.227, 7.1
1.093, 5.8

Atomic structure:
Cell lengths 9.6772, 5.8215, 9.6839 Å; angles 90.00, 119.97, 90.00 degrees
Atoms (fractional coordinates):
La 0.0186 0.2500 0.3882
La 0.1306 0.7500 0.0194
La 0.3889 0.7500 0.8698
La 0.6111 0.2500 0.1302
La 0.8694 0.2500 0.9806
La 0.9814 0.7500 0.6118
Nd 0.2558 0.7500 0.4363
Nd 0.3197 0.2500 0.2560
Nd 0.4358 0.2500 0.6803
Nd 0.5642 0.7500 0.3197
Nd 0.6803 0.7500 0.7440
Nd 0.7442 0.2500 0.5637
Tl 0.1667 0.2500 0.8336
Tl 0.8333 0.7500 0.1664

***

8.
# CsNa2AsS4
Simulated XRD peak list, copper Kα. Input: a DFT-relaxed cell (GGA-PBE, Alexandria).

The 12 most intense peaks (15° ≤ 2θ ≤ 90°), by intensity:
d_spacing, intensity
3.366, 100.0
5.130, 64.6
2.040, 45.9
2.565, 29.4
1.900, 27.3
2.814, 24.6
3.627, 24.1
3.049, 23.2
1.598, 21.0
2.223, 12.1
1.622, 11.7
4.460, 11.5

Atomic structure:
Cell lengths 6.7978, 6.7978, 6.7978 Å; angles 115.50, 115.50, 97.98 degrees
Atoms (fractional coordinates):
Cs 0.0000 0.0000 0.0000
Na 0.2500 0.7500 0.5000
Na 0.7500 0.2500 0.5000
As 0.5000 0.5000 0.0000
S 0.1838 0.5363 0.0000
S 0.4637 0.4637 0.6474
S 0.5363 0.1838 0.0000
S 0.8162 0.8162 0.3526

***

9.
# Tl5Te3Se3
Simulated XRD peak list, copper Kα. Input: a DFT-relaxed cell (GGA-PBE, Alexandria).

The 12 most intense peaks (15° ≤ 2θ ≤ 90°), by intensity:
d_spacing, intensity
2.741, 100.0
3.771, 99.8
3.341, 97.3
4.483, 96.2
3.844, 95.4
3.628, 88.9
2.269, 86.7
2.689, 85.2
2.589, 85.1
3.327, 82.0
3.674, 80.7
3.108, 70.2

Atomic structure:
Cell lengths 5.7268, 9.1057, 9.2962 Å; angles 62.60, 82.03, 82.86 degrees
Atoms (fractional coordinates):
Tl 0.0000 0.0000 0.0000
Tl 0.0052 0.7387 0.7214
Tl 0.0397 0.2424 0.4855
Tl 0.5053 0.3393 0.0492
Tl 0.5275 0.6695 0.3876
Te 0.1386 0.5897 0.1541
Te 0.2696 0.3664 0.7268
Te 0.7601 0.0087 0.3565
Se 0.2192 0.0064 0.2864
Se 0.7072 0.6442 0.0671
Se 0.8174 0.4438 0.7039

***

10.
# LaNdPt3
Simulated XRD peak list, copper Kα. Input: a DFT-relaxed cell (GGA-PBE, Alexandria).

The 12 most intense peaks (15° ≤ 2θ ≤ 90°), by intensity:
d_spacing, intensity
2.635, 100.0
2.529, 50.8
2.664, 48.2
2.500, 38.7
2.009, 30.1
2.122, 29.5
2.276, 25.9
4.017, 23.0
2.042, 20.8
1.507, 20.6
1.263, 19.9
1.566, 18.7

Atomic structure:
Cell lengths 7.1217, 8.0080, 8.0359 Å; angles 90.00, 90.00, 90.00 degrees
Atoms (fractional coordinates):
La 0.2133 0.1372 0.0000
La 0.2867 0.6372 0.5000
La 0.7133 0.3628 0.5000
La 0.7867 0.8628 0.0000
Nd 0.2121 0.1368 0.5000
Nd 0.2879 0.6368 0.0000
Nd 0.7121 0.3632 0.0000
Nd 0.7879 0.8632 0.5000
Pt 0.0000 0.5000 0.2459
Pt 0.0000 0.5000 0.7541
Pt 0.1217 0.8555 0.2524
Pt 0.1217 0.8555 0.7476
Pt 0.3783 0.3555 0.2476
Pt 0.3783 0.3555 0.7524
Pt 0.5000 0.0000 0.2541
Pt 0.5000 0.0000 0.7459
Pt 0.6217 0.6445 0.2476
Pt 0.6217 0.6445 0.7524
Pt 0.8783 0.1445 0.2524
Pt 0.8783 0.1445 0.7476

***

11.
# Hf2AgP2
Simulated XRD peak list, copper Kα. Input: a DFT-relaxed cell (GGA-PBE, Alexandria).

The 12 most intense peaks (15° ≤ 2θ ≤ 90°), by intensity:
d_spacing, intensity
2.323, 100.0
3.202, 58.5
2.264, 54.1
2.809, 37.0
2.456, 25.7
1.237, 20.6
1.353, 20.4
1.688, 19.1
1.509, 19.0
1.581, 17.4
1.493, 13.0
1.544, 10.6

Atomic structure:
Cell lengths 7.1591, 7.1591, 3.3759 Å; angles 90.00, 90.00, 90.00 degrees
Atoms (fractional coordinates):
Hf 0.1508 0.3492 0.0000
Hf 0.3492 0.8492 0.0000
Hf 0.6508 0.1508 0.0000
Hf 0.8492 0.6508 0.0000
Ag 0.0000 0.0000 0.5000
Ag 0.5000 0.5000 0.5000
P 0.1447 0.6447 0.5000
P 0.3553 0.1447 0.5000
P 0.6447 0.8553 0.5000
P 0.8553 0.3553 0.5000